No. 1
Structure and theoretical powder diffractogram of TlAgICl (a DFT-relaxed cell (GGA-PBE, Alexandria); CuKα).
Intensities are scaled so that the largest is 100.

Main lines, by angle (2θ = 10–80°):
d [Å]	I/Imax
3.802	19
3.594	100
2.781	30
2.354	39
2.153	24
2.002	19
1.969	19
1.724	17
1.511	16
1.317	10

Structural model:
```
data_TlAgICl
_chemical_formula_sum 'Tl1 Ag1 I1 Cl1'
_cell_length_a 4.7085
_cell_length_b 4.7085
_cell_length_c 7.6041
_cell_angle_alpha 90.00
_cell_angle_beta 90.00
_cell_angle_gamma 120.00
_symmetry_space_group_name_H-M 'P 1'
_symmetry_Int_Tables_number 1
loop_
_symmetry_equiv_pos_as_xyz
'x,y,z'
loop_
_atom_site_label
_atom_site_fract_x
_atom_site_fract_y
_atom_site_fract_z
_atom_site_occupancy
Tl1 0.0000 0.0000 0.0000 1
Ag1 0.3333 0.6667 0.4705 1
I1 0.6667 0.3333 0.3477 1
Cl1 0.3333 0.6667 0.8135 1
```


No. 2
Structure and theoretical powder diffractogram of RbThTiN3 (a DFT-relaxed cell (GGA-PBE, Alexandria); CuKα).
Intensities are scaled so that the largest is 100.

Main lines, by angle (2θ = 10–80°):
d [Å]	I/Imax
6.583	100
3.885	25
3.446	22
3.413	40
3.291	47
3.085	32
3.068	25
2.876	50
2.694	63
2.152	20

Structural model:
```
data_RbThTiN3
_chemical_formula_sum 'Rb2 Th2 Ti2 N6'
_cell_length_a 8.0431
_cell_length_b 3.6712
_cell_length_c 9.3828
_cell_angle_alpha 90.00
_cell_angle_beta 99.48
_cell_angle_gamma 90.00
_symmetry_space_group_name_H-M 'P 1'
_symmetry_Int_Tables_number 1
loop_
_symmetry_equiv_pos_as_xyz
'x,y,z'
loop_
_atom_site_label
_atom_site_fract_x
_atom_site_fract_y
_atom_site_fract_z
_atom_site_occupancy
Rb1 0.1596 0.2500 0.2007 1
Rb2 0.8404 0.7500 0.7993 1
Th1 0.3757 0.7500 0.8572 1
Th2 0.6243 0.2500 0.1428 1
Ti1 0.1107 0.2500 0.5821 1
Ti2 0.8893 0.7500 0.4179 1
N1 0.1307 0.7500 0.4970 1
N2 0.1758 0.2500 0.7798 1
N3 0.4335 0.7500 0.1025 1
N4 0.5665 0.2500 0.8975 1
N5 0.8242 0.7500 0.2202 1
N6 0.8693 0.2500 0.5030 1
```


No. 3
Structure and theoretical powder diffractogram of BaUSi2O8 (a DFT-relaxed cell (GGA-PBE, Alexandria); CuKα).
Intensities are scaled so that the largest is 100.

Main lines, by angle (2θ = 10–80°):
d [Å]	I/Imax
5.692	42
4.210	30
4.006	47
3.862	31
3.556	100
3.144	71
2.859	33
2.780	38
2.638	34
2.298	33

Structural model:
```
data_BaUSi2O8
_chemical_formula_sum 'Ba2 U2 Si4 O16'
_cell_length_a 8.8923
_cell_length_b 8.8923
_cell_length_c 7.7238
_cell_angle_alpha 90.00
_cell_angle_beta 90.00
_cell_angle_gamma 142.50
_symmetry_space_group_name_H-M 'P 1'
_symmetry_Int_Tables_number 1
loop_
_symmetry_equiv_pos_as_xyz
'x,y,z'
loop_
_atom_site_label
_atom_site_fract_x
_atom_site_fract_y
_atom_site_fract_z
_atom_site_occupancy
Ba1 0.2056 0.7944 0.7500 1
Ba2 0.7944 0.2056 0.2500 1
U1 0.1225 0.8775 0.2500 1
U2 0.8775 0.1225 0.7500 1
Si1 0.4059 0.5941 0.0407 1
Si2 0.4059 0.5941 0.4593 1
Si3 0.5941 0.4059 0.5407 1
Si4 0.5941 0.4059 0.9593 1
O1 0.0137 0.9863 0.2500 1
O2 0.1293 0.4060 0.5362 1
O3 0.1293 0.4060 0.9638 1
O4 0.2332 0.7668 0.2500 1
O5 0.3943 0.6057 0.2500 1
O6 0.4060 0.1293 0.0362 1
O7 0.4060 0.1293 0.4638 1
O8 0.5000 0.5000 0.0000 1
O9 0.5000 0.5000 0.5000 1
O10 0.5940 0.8707 0.5362 1
O11 0.5940 0.8707 0.9638 1
O12 0.6057 0.3943 0.7500 1
O13 0.7668 0.2332 0.7500 1
O14 0.8707 0.5940 0.0362 1
O15 0.8707 0.5940 0.4638 1
O16 0.9863 0.0137 0.7500 1
```


No. 4
Structure and theoretical powder diffractogram of Cr2FeMo (a DFT-relaxed cell (GGA-PBE, Alexandria); CuKα).
Intensities are scaled so that the largest is 100.

Main lines, by angle (2θ = 10–80°):
d [Å]	I/Imax
3.844	7
2.563	8
2.424	9
2.127	100
1.922	14
1.806	32
1.536	5
1.476	5
1.317	20
1.277	9

Structural model:
```
data_Cr2FeMo
_chemical_formula_sum 'Cr2 Fe1 Mo1'
_cell_length_a 2.5542
_cell_length_b 2.5542
_cell_length_c 7.6888
_cell_angle_alpha 90.00
_cell_angle_beta 90.00
_cell_angle_gamma 90.00
_symmetry_space_group_name_H-M 'P 1'
_symmetry_Int_Tables_number 1
loop_
_symmetry_equiv_pos_as_xyz
'x,y,z'
loop_
_atom_site_label
_atom_site_fract_x
_atom_site_fract_y
_atom_site_fract_z
_atom_site_occupancy
Cr1 0.0000 0.0000 0.2144 1
Cr2 0.0000 0.0000 0.7856 1
Fe1 0.5000 0.5000 0.0000 1
Mo1 0.5000 0.5000 0.5000 1
```


No. 5
Structure and theoretical powder diffractogram of Cs2Hg3Pb5 (a DFT-relaxed cell (GGA-PBE, Alexandria); CuKα).
Intensities are scaled so that the largest is 100.

Main lines, by angle (2θ = 10–80°):
d [Å]	I/Imax
6.362	27
4.937	27
3.325	58
3.261	61
3.248	61
2.678	100
2.436	80
2.299	31
1.889	19
1.368	24

Structural model:
```
data_Cs2Hg3Pb5
_chemical_formula_sum 'Cs4 Hg6 Pb10'
_cell_length_a 10.6041
_cell_length_b 10.6041
_cell_length_c 10.6041
_cell_angle_alpha 106.26
_cell_angle_beta 88.50
_cell_angle_gamma 138.26
_symmetry_space_group_name_H-M 'P 1'
_symmetry_Int_Tables_number 1
loop_
_symmetry_equiv_pos_as_xyz
'x,y,z'
loop_
_atom_site_label
_atom_site_fract_x
_atom_site_fract_y
_atom_site_fract_z
_atom_site_occupancy
Cs1 0.1226 0.2419 0.3645 1
Cs2 0.3774 0.7419 0.1192 1
Cs3 0.6226 0.2581 0.8808 1
Cs4 0.8774 0.7581 0.6355 1
Hg1 0.1191 0.6386 0.7577 1
Hg2 0.2500 0.2500 0.0000 1
Hg3 0.3809 0.1386 0.5195 1
Hg4 0.6191 0.8614 0.4805 1
Hg5 0.7500 0.7500 0.0000 1
Hg6 0.8809 0.3614 0.2423 1
Pb1 0.0111 0.7500 0.2611 1
Pb2 0.1280 0.8763 0.0043 1
Pb3 0.2500 0.7500 0.5000 1
Pb4 0.3720 0.3763 0.7483 1
Pb5 0.4889 0.7500 0.7389 1
Pb6 0.5111 0.2500 0.2611 1
Pb7 0.6280 0.6237 0.2517 1
Pb8 0.7500 0.2500 0.5000 1
Pb9 0.8720 0.1237 0.9957 1
Pb10 0.9889 0.2500 0.7389 1
```


No. 6
Structure and theoretical powder diffractogram of BC3 (a DFT-relaxed cell (GGA-PBE, Alexandria); CuKα).
Intensities are scaled so that the largest is 100.

Main lines, by angle (2θ = 10–80°):
d [Å]	I/Imax
4.940	13
3.388	5
3.017	2
2.159	100
2.073	98
1.777	2
1.579	2
1.310	13
1.307	51
1.235	12

Structural model:
```
data_BC3
_chemical_formula_sum 'B3 C9'
_cell_length_a 4.3675
_cell_length_b 4.3675
_cell_length_c 5.2395
_cell_angle_alpha 107.46
_cell_angle_beta 107.46
_cell_angle_gamma 51.71
_symmetry_space_group_name_H-M 'P 1'
_symmetry_Int_Tables_number 1
loop_
_symmetry_equiv_pos_as_xyz
'x,y,z'
loop_
_atom_site_label
_atom_site_fract_x
_atom_site_fract_y
_atom_site_fract_z
_atom_site_occupancy
B1 0.0000 0.0000 0.0000 1
B2 0.1858 0.4960 0.9194 1
B3 0.5040 0.8142 0.0806 1
C1 0.0660 0.9340 0.5000 1
C2 0.1383 0.5243 0.4205 1
C3 0.3812 0.2744 0.1781 1
C4 0.4095 0.2634 0.6563 1
C5 0.4757 0.8617 0.5795 1
C6 0.7256 0.6188 0.8219 1
C7 0.7366 0.5905 0.3437 1
C8 0.7970 0.1917 0.2639 1
C9 0.8083 0.2030 0.7361 1
```